# Ca2MnP2H4O10
Calculated powder diffractogram, CuKα. Input: a structure optimized by DFT (PBE+U).
Kinematic intensities with the Lorentz-polarization factor, no thermal factor.

Main lines, sorted by position (10 to 90 degrees two-theta):
(0 0 1), 13.7 deg, I = 60; (1 1 0), 27.4 deg, I = 100; (1 0 -2), 29.1 deg, I = 43; (0 1 -2), 31.0 deg, I = 42; (-1 2 1), 33.7 deg, I = 66; (1 -1 2), 36.1 deg, I = 40

Structure:
```
19
Lattice="5.573 0.000 0.000 -1.885 5.536 0.000 -1.434 -0.506 6.464" Properties=species:S:1:pos:R:3 pbc="T T T"
Ca -0.211 2.063 1.721
Ca 2.465 2.966 4.743
Mn 2.069 -0.253 3.232
P -0.690 0.997 4.737
P 2.944 4.033 1.727
H 1.508 0.360 0.409
H -0.222 3.538 5.445
H 2.475 1.492 1.018
H 0.745 4.669 6.055
O -1.460 3.956 2.774
O -0.547 -0.395 5.364
O -1.052 2.083 5.807
O 0.636 1.386 3.991
O 1.825 0.773 1.278
O 0.428 4.257 5.185
O 1.617 3.644 2.473
O 3.305 2.947 0.657
O 2.801 5.424 1.100
O 3.714 1.073 3.690
```